This entry pairs a crystal structure of Ti6AlTl with its simulated powder diffractogram. Radiation: copper Kα. Structure: a crystal structure in Alexandria, relaxed with PBE.

Structure:
Unit cell a=5.838 b=5.838 c=4.743 alpha=90.00 beta=90.00 gamma=120.00
Element x y z (fractional)
1 Ti 0.006 0.503 0.000
2 Ti 0.164 0.328 0.500
3 Ti 0.164 0.836 0.500
4 Ti 0.497 0.503 0.000
5 Ti 0.497 0.994 0.000
6 Ti 0.672 0.836 0.500
7 Al 0.000 0.000 0.000
8 Tl 0.667 0.333 0.500

Principal peaks in the range 2θ = 10–80°, sorted by position:
2θ (°)  d/Å  I (rel.)
17.54  5.056  50
25.76  3.459  34
35.51  2.528  31
36.13  2.486  20
37.94  2.371  26
40.43  2.231  100

=====

This entry pairs a crystal structure of Ti4AlV2 with its simulated powder diffractogram. Radiation: copper Kα. Structure: a crystal structure in Alexandria, relaxed with PBE.

Structure:
Unit cell a=2.849 b=17.175 c=4.671 alpha=90.00 beta=90.00 gamma=90.00
Element x y z (fractional)
1 Ti 0.000 0.167 0.000
2 Ti 0.000 0.316 0.500
3 Ti 0.000 0.684 0.500
4 Ti 0.000 0.833 0.000
5 Ti 0.500 0.184 0.500
6 Ti 0.500 0.333 0.000
7 Ti 0.500 0.667 0.000
8 Ti 0.500 0.816 0.500
9 Al 0.000 0.500 0.000
10 Al 0.500 0.000 0.000
11 V 0.000 0.060 0.500
12 V 0.000 0.940 0.500
13 V 0.500 0.440 0.500
14 V 0.500 0.560 0.500

Principal peaks in the range 2θ = 10–80°, sorted by position:
2θ (°)  d/Å  I (rel.)
19.00  4.671  16
38.55  2.335  44
40.29  2.238  100
42.09  2.147  15
45.71  1.985  18
70.92  1.329  16

=====

This entry pairs a crystal structure of TiAlV with its simulated powder diffractogram. Radiation: copper Kα. Structure: a crystal structure in Alexandria, relaxed with PBE.

Structure:
Unit cell a=4.566 b=5.023 c=5.074 alpha=94.15 beta=112.08 gamma=116.82
Element x y z (fractional)
1 Ti 0.226 0.261 0.244
2 Ti 0.774 0.739 0.756
3 Al 0.474 0.109 0.770
4 Al 0.526 0.891 0.230
5 V 0.092 0.401 0.711
6 V 0.908 0.599 0.289

Principal peaks in the range 2θ = 10–80°, sorted by position:
2θ (°)  d/Å  I (rel.)
39.62  2.275  48
40.09  2.249  100
40.93  2.205  49
41.82  2.160  42
42.58  2.123  41
54.95  1.671  18

=====

This entry pairs a crystal structure of Ti2Al2V with its simulated powder diffractogram. Radiation: copper Kα. Structure: a crystal structure in Alexandria, relaxed with PBE.

Structure:
Unit cell a=2.694 b=4.354 c=13.257 alpha=90.00 beta=90.00 gamma=90.00
Element x y z (fractional)
1 Ti 0.000 0.000 0.000
2 Ti 0.000 0.000 0.201
3 Ti 0.000 0.500 0.500
4 Ti 0.000 0.500 0.701
5 Al 0.500 0.000 0.391
6 Al 0.500 0.000 0.612
7 Al 0.500 0.500 0.112
8 Al 0.500 0.500 0.891
9 V 0.000 0.000 0.808
10 V 0.000 0.500 0.308

Principal peaks in the range 2θ = 10–80°, sorted by position:
2θ (°)  d/Å  I (rel.)
21.48  4.136  20
39.81  2.264  100
39.94  2.258  76
41.48  2.177  46
43.28  2.091  29
74.58  1.272  24

=====

This entry pairs a crystal structure of TiAlW with its simulated powder diffractogram. Radiation: copper Kα. Structure: a crystal structure in Alexandria, relaxed with PBE.

Structure:
Unit cell a=2.802 b=4.402 c=7.803 alpha=90.00 beta=92.02 gamma=90.00
Element x y z (fractional)
1 Ti 0.015 0.250 0.237
2 Ti 0.985 0.750 0.763
3 Al 0.456 0.250 0.907
4 Al 0.544 0.750 0.093
5 W 0.341 0.750 0.422
6 W 0.659 0.250 0.578

Principal peaks in the range 2θ = 10–80°, sorted by position:
2θ (°)  d/Å  I (rel.)
11.35  7.798  100
30.63  2.919  21
38.08  2.363  13
38.93  2.313  18
40.25  2.241  71
41.01  2.201  17

=====

This entry pairs a crystal structure of Ti5Al4W with its simulated powder diffractogram. Radiation: copper Kα. Structure: a crystal structure in Alexandria, relaxed with PBE.

Structure:
Unit cell a=3.281 b=3.281 c=15.017 alpha=90.00 beta=90.00 gamma=90.00
Element x y z (fractional)
1 Ti 0.000 0.000 0.000
2 Ti 0.000 0.000 0.198
3 Ti 0.000 0.000 0.403
4 Ti 0.000 0.000 0.597
5 Ti 0.000 0.000 0.802
6 Al 0.500 0.500 0.097
7 Al 0.500 0.500 0.302
8 Al 0.500 0.500 0.698
9 Al 0.500 0.500 0.903
10 W 0.500 0.500 0.500

Principal peaks in the range 2θ = 10–80°, sorted by position:
2θ (°)  d/Å  I (rel.)
11.79  7.508  42
27.83  3.205  22
29.72  3.006  18
38.82  2.320  53
40.73  2.215  100
71.57  1.318  32